Diffraction record for CaRh3O4. The PXRD pattern is calculated, not measured: it uses a crystal structure in Alexandria, relaxed with PBE and a wavelength of 1.5418 Å.
No peak broadening, texture or thermal motion is included.

Most intense lines, 2θ = 10–80°, in order of falling intensity:
h k l	two_theta	I/Imax
2 1 0	34.85	1000
2 1 1	38.29	374
3 2 0	57.74	227
2 2 2	55.27	215
4 2 1	75.70	200
3 2 1	60.14	189

Structure:
```
data_CaRh3O4
_symmetry_space_group_name_H-M 'P m -3 n'
_symmetry_Int_Tables_number 223
_symmetry_space_group_name_Hall '-P 4n 2 3'
_cell_length_a 5.757
_cell_length_b 5.757
_cell_length_c 5.757
_cell_angle_alpha 90.00
_cell_angle_beta 90.00
_cell_angle_gamma 90.00
loop_
_atom_site_label
_atom_site_type_symbol
_atom_site_fract_x
_atom_site_fract_y
_atom_site_fract_z
Ca1 Ca 0.000 0.000 0.000
Rh1 Rh 0.000 0.250 0.500
O1 O 0.250 0.250 0.250
```



Diffraction record for CaTaRhO6. The PXRD pattern is calculated, not measured: it uses a crystal structure in Alexandria, relaxed with PBE and a wavelength of 1.5418 Å.
No peak broadening, texture or thermal motion is included.

Most intense lines, 2θ = 10–80°, in order of falling intensity:
h k l	two_theta	I/Imax
1 1 0	25.83	1000
1 0 3	33.59	779
2 1 3	50.71	646
1 0 1	20.44	455
2 0 0	36.85	211
3 0 3	64.31	191

Structure:
```
data_CaTaRhO6
_symmetry_space_group_name_H-M 'P 42 n m'
_symmetry_Int_Tables_number 102
_cell_length_a 4.879
_cell_length_b 4.879
_cell_length_c 9.558
_cell_angle_alpha 90.00
_cell_angle_beta 90.00
_cell_angle_gamma 90.00
loop_
_symmetry_equiv_pos_as_xyz
'x,y,z'
'-y+1/2,x+1/2,z+1/2'
'-x,-y,z'
'y+1/2,-x+1/2,z+1/2'
'-x+1/2,y+1/2,z+1/2'
'y,x,z'
'x+1/2,-y+1/2,z+1/2'
'-y,-x,z'
loop_
_atom_site_label
_atom_site_type_symbol
_atom_site_fract_x
_atom_site_fract_y
_atom_site_fract_z
Ca1 Ca 0.000 0.000 0.000
Ta1 Ta 0.000 0.000 0.664
Rh1 Rh 0.000 0.000 0.327
O1 O 0.174 0.174 0.493
O2 O 0.214 0.214 0.184
O3 O 0.215 0.215 0.806
```



Diffraction record for Ca2TiRhO6. The PXRD pattern is calculated, not measured: it uses a crystal structure in Alexandria, relaxed with PBE and a wavelength of 1.5418 Å.
No peak broadening, texture or thermal motion is included.

Most intense lines, 2θ = 10–80°, in order of falling intensity:
h k l	two_theta	I/Imax
1 1 1	32.76	1000
1 1 -1	22.99	430
2 2 -2	46.91	335
0 2 0	32.28	251
2 0 -2	33.10	236
0 0 4	47.12	186

Structure:
```
data_Ca2TiRhO6
_symmetry_space_group_name_H-M 'P 1 21/c 1'
_symmetry_Int_Tables_number 14
_cell_length_a 5.412
_cell_length_b 5.546
_cell_length_c 9.412
_cell_angle_alpha 90.00
_cell_angle_beta 124.94
_cell_angle_gamma 90.00
loop_
_symmetry_equiv_pos_as_xyz
'x,y,z'
'-x,-y,-z'
'-x,y+1/2,-z+1/2'
'x,-y+1/2,z+1/2'
loop_
_atom_site_label
_atom_site_type_symbol
_atom_site_fract_x
_atom_site_fract_y
_atom_site_fract_z
Ca1 Ca 0.238 0.051 0.250
Ti1 Ti 0.500 0.000 0.000
Rh1 Rh 0.000 0.000 0.500
O1 O 0.163 0.202 0.957
O2 O 0.255 0.709 0.955
O3 O 0.338 0.023 0.753
```



Diffraction record for CaTl2RhO6. The PXRD pattern is calculated, not measured: it uses a crystal structure in Alexandria, relaxed with PBE and a wavelength of 1.5418 Å.
No peak broadening, texture or thermal motion is included.

Most intense lines, 2θ = 10–80°, in order of falling intensity:
h k l	two_theta	I/Imax
1 0 4	30.21	1000
1 1 0	31.40	943
0 1 2	21.66	617
0 2 4	44.14	414
2 1 4	55.17	401
1 1 6	48.87	326

Structure:
```
data_CaTl2RhO6
_symmetry_space_group_name_H-M 'R 3'
_symmetry_Int_Tables_number 146
_symmetry_space_group_name_Hall 'R 3'
_cell_length_a 5.6974
_cell_length_b 5.6974
_cell_length_c 14.7831
_cell_angle_alpha 90.00
_cell_angle_beta 90.00
_cell_angle_gamma 120.00
loop_
_atom_site_label
_atom_site_type_symbol
_atom_site_fract_x
_atom_site_fract_y
_atom_site_fract_z
Ca1 Ca 0.0000 0.0000 0.0000
Tl1 Tl 0.0000 0.0000 0.2193
Tl2 Tl 0.0000 0.0000 0.7313
Rh1 Rh 0.0000 0.0000 0.5111
O1 O 0.0162 0.7337 0.5947
O2 O 0.0568 0.3474 0.1054
```